# 1
Computed XRD peak list of Ho5Tm3Co2 for Cu Kα (weighted mean of Kα1 and Kα2), from the GGA-PBE geometry in Alexandria.

Structure:
```
data_Ho5Tm3Co2
_chemical_formula_sum 'Ho20 Tm12 Co8'
_cell_length_a 10.069
_cell_length_b 14.571
_cell_length_c 7.575
_cell_angle_alpha 90.00
_cell_angle_beta 90.00
_cell_angle_gamma 90.00
_symmetry_space_group_name_H-M 'I b a m'
_symmetry_Int_Tables_number 72
_symmetry_space_group_name_Hall '-I 2 2c'
loop_
_atom_site_label
_atom_site_type_symbol
_atom_site_fract_x
_atom_site_fract_y
_atom_site_fract_z
Ho1 Ho 0.000 0.000 0.250
Ho2 Ho 0.000 0.246 0.250
Ho3 Ho 0.244 0.123 0.000
Tm1 Tm 0.000 0.500 0.250
Tm2 Tm 0.244 0.124 0.500
Co1 Co 0.000 0.371 0.000
```

Principal peaks in the range 2θ = 10–90°, in order of rising 2θ:
| (hkl) | 2theta | I (rel.) |
| --- | --- | --- |
| 2 0 2 | 29.5 | 100 |
| 2 4 0 | 30.3 | 93 |
| 0 4 2 | 34.1 | 100 |
| 4 0 0 | 35.7 | 44 |
| 0 0 4 | 48.0 | 19 |
| 0 8 0 | 50.1 | 17 |
| 4 4 2 | 50.2 | 67 |
| 2 4 4 | 57.9 | 31 |
| 2 8 2 | 59.2 | 29 |
| 4 0 4 | 61.2 | 18 |

# 2
Computed XRD peak list of Ho3Tm4Co4 for Cu Kα (weighted mean of Kα1 and Kα2), from the GGA-PBE geometry in Alexandria.

Structure:
```
data_Ho3Tm4Co4
_chemical_formula_sum 'Ho6 Tm8 Co8'
_cell_length_a 3.572
_cell_length_b 8.678
_cell_length_c 15.364
_cell_angle_alpha 90.00
_cell_angle_beta 90.00
_cell_angle_gamma 90.00
_symmetry_space_group_name_H-M 'I m m m'
_symmetry_Int_Tables_number 71
_symmetry_space_group_name_Hall '-I 2 2'
loop_
_atom_site_label
_atom_site_type_symbol
_atom_site_fract_x
_atom_site_fract_y
_atom_site_fract_z
Ho1 Ho 0.000 0.000 0.000
Ho2 Ho 0.000 0.500 0.104
Tm1 Tm 0.000 0.314 0.334
Co1 Co 0.000 0.000 0.251
Co2 Co 0.000 0.214 0.500
```

Principal peaks in the range 2θ = 10–90°, in order of rising 2θ:
| (hkl) | 2theta | I (rel.) |
| --- | --- | --- |
| 1 0 3 | 30.5 | 36 |
| 0 1 5 | 30.9 | 34 |
| 1 2 1 | 33.0 | 100 |
| 0 3 3 | 35.6 | 69 |
| 1 1 4 | 35.9 | 73 |
| 0 2 6 | 40.9 | 28 |
| 2 0 0 | 51.1 | 24 |
| 1 3 6 | 54.3 | 29 |
| 2 3 3 | 63.9 | 25 |
| 0 6 0 | 64.4 | 31 |

# 3
Computed XRD peak list of Ho12TmCo6 for Cu Kα (weighted mean of Kα1 and Kα2), from the GGA-PBE geometry in Alexandria.

Structure:
```
data_Ho12TmCo6
_chemical_formula_sum 'Ho24 Tm2 Co12'
_cell_length_a 9.707
_cell_length_b 9.707
_cell_length_c 9.707
_cell_angle_alpha 90.00
_cell_angle_beta 90.00
_cell_angle_gamma 90.00
_symmetry_space_group_name_H-M 'I m -3'
_symmetry_Int_Tables_number 204
_symmetry_space_group_name_Hall '-I 2 2 3'
loop_
_atom_site_label
_atom_site_type_symbol
_atom_site_fract_x
_atom_site_fract_y
_atom_site_fract_z
Ho1 Ho 0.000 0.194 0.308
Tm1 Tm 0.000 0.000 0.000
Co1 Co 0.000 0.386 0.500
```

Principal peaks in the range 2θ = 10–90°, in order of rising 2θ:
| (hkl) | 2theta | I (rel.) |
| --- | --- | --- |
| 3 1 0 | 29.1 | 52 |
| 2 2 2 | 31.9 | 51 |
| 3 2 1 | 34.6 | 100 |
| 4 0 0 | 37.0 | 18 |
| 5 1 0 | 47.8 | 26 |
| 5 0 3 | 55.2 | 37 |
| 5 3 2 | 58.6 | 40 |
| 5 4 3 | 68.3 | 19 |
| 8 2 2 | 84.7 | 18 |
| 7 5 0 | 86.2 | 18 |

# 4
Computed XRD peak list of Y3Ho3Co4 for Cu Kα (weighted mean of Kα1 and Kα2), from the GGA-PBE geometry in Alexandria.

Structure:
```
data_Y3Ho3Co4
_chemical_formula_sum 'Y6 Ho6 Co8'
_cell_length_a 4.196
_cell_length_b 10.143
_cell_length_c 10.131
_cell_angle_alpha 90.00
_cell_angle_beta 90.00
_cell_angle_gamma 90.00
_symmetry_space_group_name_H-M 'A m m 2'
_symmetry_Int_Tables_number 38
loop_
_symmetry_equiv_pos_as_xyz
'x,y,z'
'-x,-y,z'
'-x,y,z'
'x,-y,z'
'x,y+1/2,z+1/2'
'-x,-y+1/2,z+1/2'
'-x,y+1/2,z+1/2'
'x,-y+1/2,z+1/2'
loop_
_atom_site_label
_atom_site_type_symbol
_atom_site_fract_x
_atom_site_fract_y
_atom_site_fract_z
Y1 Y 0.000 0.000 0.000
Y2 Y 0.000 0.174 0.673
Ho1 Ho 0.000 0.000 0.346
Ho2 Ho 0.500 0.250 0.423
Co1 Co 0.500 0.000 0.559
Co2 Co 0.500 0.000 0.783
Co3 Co 0.500 0.111 0.175
```

Principal peaks in the range 2θ = 10–90°, in order of rising 2θ:
| (hkl) | 2theta | I (rel.) |
| --- | --- | --- |
| 1 2 0 | 27.6 | 32 |
| 1 2 2 | 32.9 | 100 |
| 1 1 3 | 35.2 | 98 |
| 0 4 0 | 35.4 | 24 |
| 0 4 2 | 39.8 | 60 |
| 2 0 0 | 43.1 | 31 |
| 2 4 0 | 57.0 | 12 |
| 1 6 0 | 58.9 | 23 |
| 2 4 2 | 60.1 | 35 |
| 1 4 6 | 70.7 | 23 |

# 5
Computed XRD peak list of YHoCo2 for Cu Kα (weighted mean of Kα1 and Kα2), from the GGA-PBE geometry in Alexandria.

Structure:
```
data_YHoCo2
_chemical_formula_sum 'Y2 Ho2 Co4'
_cell_length_a 3.864
_cell_length_b 5.529
_cell_length_c 7.500
_cell_angle_alpha 90.00
_cell_angle_beta 90.00
_cell_angle_gamma 90.00
_symmetry_space_group_name_H-M 'P m c 21'
_symmetry_Int_Tables_number 26
loop_
_symmetry_equiv_pos_as_xyz
'x,y,z'
'-x,-y,z+1/2'
'-x,y,z'
'x,-y,z+1/2'
loop_
_atom_site_label
_atom_site_type_symbol
_atom_site_fract_x
_atom_site_fract_y
_atom_site_fract_z
Y1 Y 0.000 0.134 0.000
Ho1 Ho 0.500 0.366 0.644
Co1 Co 0.000 0.352 0.350
Co2 Co 0.500 0.156 0.296
```

Principal peaks in the range 2θ = 10–90°, in order of rising 2θ:
| (hkl) | 2theta | I (rel.) |
| --- | --- | --- |
| 1 1 1 | 30.6 | 99 |
| 1 0 2 | 33.3 | 100 |
| 0 2 1 | 34.6 | 93 |
| 1 1 2 | 37.2 | 77 |
| 0 1 3 | 39.6 | 78 |
| 1 2 1 | 42.0 | 96 |
| 2 0 0 | 47.0 | 45 |
| 2 2 1 | 59.7 | 38 |
| 1 3 2 | 60.9 | 33 |
| 2 1 3 | 63.1 | 38 |

# 6
Computed XRD peak list of YHo12Co6 for Cu Kα (weighted mean of Kα1 and Kα2), from the GGA-PBE geometry in Alexandria.

Structure:
```
data_YHo12Co6
_chemical_formula_sum 'Y2 Ho24 Co12'
_cell_length_a 9.722
_cell_length_b 9.722
_cell_length_c 9.722
_cell_angle_alpha 90.00
_cell_angle_beta 90.00
_cell_angle_gamma 90.00
_symmetry_space_group_name_H-M 'I m -3'
_symmetry_Int_Tables_number 204
_symmetry_space_group_name_Hall '-I 2 2 3'
loop_
_atom_site_label
_atom_site_type_symbol
_atom_site_fract_x
_atom_site_fract_y
_atom_site_fract_z
Y1 Y 0.000 0.000 0.000
Ho1 Ho 0.000 0.309 0.194
Co1 Co 0.000 0.114 0.500
```

Principal peaks in the range 2θ = 10–90°, in order of rising 2θ:
| (hkl) | 2theta | I (rel.) |
| --- | --- | --- |
| 3 0 1 | 29.0 | 53 |
| 2 2 2 | 31.9 | 48 |
| 3 1 2 | 34.5 | 100 |
| 4 0 0 | 37.0 | 17 |
| 5 0 1 | 47.7 | 25 |
| 5 3 0 | 55.1 | 38 |
| 5 2 3 | 58.5 | 39 |
| 5 3 4 | 68.2 | 18 |
| 8 2 2 | 84.6 | 17 |
| 7 0 5 | 86.0 | 19 |